For Tb4Y3Er2, DFT lattice parameters and positions (GGA-PBE) gives the calculated XRD peak list in this record (a wavelength of 1.5418 Å).
Peak positions follow from Bragg's law for the DFT cell and can differ from measured ones.

Top 6 peaks for 10° ≤ 2θ ≤ 80°, low angle first:
28.5 deg, d 3.132, I = 228; 30.3 deg, d 2.954, I = 587; 30.9 deg, d 2.893, I = 484; 31.0 deg, d 2.882, I = 640; 31.9 deg, d 2.809, I = 1000; 37.6 deg, d 2.395, I = 414

Structure:
```
Tb4Y3Er2
1.0
8.092 -5.785 0.000
8.092 5.785 0.000
-0.625 0.000 6.102
Tb Y Er
8 6 4
direct
0.095 0.812 0.986
0.145 0.431 0.153
0.188 0.905 0.514
0.431 0.145 0.653
0.569 0.855 0.347
0.812 0.095 0.486
0.855 0.569 0.847
0.905 0.188 0.014
0.070 0.265 0.579
0.265 0.070 0.079
0.402 0.598 0.250
0.598 0.402 0.750
0.735 0.930 0.921
0.930 0.735 0.421
0.240 0.521 0.682
0.479 0.760 0.818
0.521 0.240 0.182
0.760 0.479 0.318
```

=====

For HoPu2Th, DFT lattice parameters and positions (GGA-PBE) gives the calculated XRD peak list in this record (a wavelength of 1.5418 Å).
Peak positions follow from Bragg's law for the DFT cell and can differ from measured ones.

Top 6 peaks for 10° ≤ 2θ ≤ 80°, low angle first:
31.8 deg, d 2.813, I = 1000; 36.5 deg, d 2.460, I = 350; 37.6 deg, d 2.390, I = 158; 53.4 deg, d 1.714, I = 238; 62.8 deg, d 1.479, I = 297; 64.3 deg, d 1.449, I = 133

Structure:
```
HoPu2Th
1.0
3.479 0.000 0.000
0.000 3.479 0.000
0.000 0.000 9.561
Ho Pu Th
1 2 1
direct
0.000 0.000 0.000
0.500 0.500 0.258
0.500 0.500 0.742
0.000 0.000 0.500
```